Starting from a crystal structure in Alexandria, relaxed with GGA+U, the powder X-ray diffraction pattern of V2BiF11 was computed for Cu Kα, 1.54184 Å.

Atomic structure:
```
V2BiF11
1.0
-4.3657 4.3657 5.2354
4.3657 -4.3657 5.2354
4.3657 4.3657 -5.2354
V Bi F
4 2 22
Direct
0.1615 0.6615 0.8229
0.3385 0.1615 0.5000
0.6615 0.8385 0.5000
0.8385 0.3385 0.1771
0.2500 0.2500 0.0000
0.7500 0.7500 0.0000
0.0000 0.5000 0.5000
0.0748 0.3552 0.1713
0.0964 0.9252 0.2804
0.1448 0.4252 0.8287
0.1840 0.9036 0.8287
0.1981 0.3019 0.5000
0.3019 0.8019 0.1038
0.3160 0.1448 0.7196
0.3552 0.1840 0.2804
0.4036 0.6840 0.8287
0.4252 0.5964 0.2804
0.5000 0.0000 0.5000
0.5748 0.4036 0.7196
0.5964 0.3160 0.1713
0.6448 0.8160 0.7196
0.6840 0.8552 0.2804
0.6981 0.1981 0.8962
0.8019 0.6981 0.5000
0.8160 0.0964 0.1713
0.8552 0.5748 0.1713
0.9036 0.0748 0.7196
0.9252 0.6448 0.8287
```

The 10 most intense peaks (15 to 90 degrees two-theta), by intensity:
d/Å, I_rel
3.993, 100
3.353, 66
1.997, 32
1.900, 29
2.761, 29
1.915, 24
2.442, 22
3.659, 17
1.952, 16
1.628, 16